Li3V5O10: computed X-ray powder pattern (λ = 1.5418 Å (Cu Kα)), based on a cell relaxed with PBE+U.
Neutral-atom scattering factors, no anomalous dispersion.

Principal peaks in the range 15° ≤ 2θ ≤ 90°, most intense first:
- (1 0 0), 2θ = 18.23°, I = 100
- (1 -2 2), 2θ = 39.71°, I = 63
- (2 3 2), 2θ = 43.75°, I = 50
- (-1 1 4), 2θ = 44.53°, I = 45
- (0 0 2), 2θ = 18.02°, I = 41
- (1 1 2), 2θ = 22.31°, I = 22
- (1 2 0), 2θ = 26.71°, I = 21
- (1 3 2), 2θ = 35.85°, I = 21
- (-1 1 2), 2θ = 30.50°, I = 17
- (0 2 2), 2θ = 26.82°, I = 16

Crystal structure
abc: 5.1397 7.8742 10.3690
angles: 74.29 76.88 73.68
Element x y z (fractional)
Li  0.0023  0.4983  0.2507
Li  0.4785  0.6073  0.0991
Li  0.4792  0.6063  0.6002
Li  0.5208  0.3937  0.3998
Li  0.5215  0.3926  0.9009
Li  0.9977  0.5017  0.7493
V  0.0204  0.6880  0.4404
V  0.0197  0.6881  0.9405
V  0.0394  0.0989  0.3460
V  0.0394  0.0990  0.8461
V  0.5000  0.0000  0.0000
V  0.5000  0.0000  0.5000
V  0.9606  0.9010  0.1539
V  0.9606  0.9011  0.6540
V  0.9803  0.3119  0.0595
V  0.9796  0.3120  0.5596
O  0.1920  0.6702  0.2713
O  0.1916  0.6705  0.7714
O  0.2109  0.4813  0.0536
O  0.2109  0.4811  0.5536
O  0.2139  0.0602  0.6604
O  0.2147  0.0596  0.1607
O  0.2255  0.8589  0.9781
O  0.2265  0.8591  0.4782
O  0.2563  0.2309  0.4017
O  0.2576  0.2302  0.9020
O  0.7424  0.7698  0.0980
O  0.7437  0.7691  0.5983
O  0.7735  0.1409  0.5218
O  0.7745  0.1411  0.0219
O  0.7853  0.9404  0.8393
O  0.7861  0.9398  0.3396
O  0.7891  0.5189  0.4464
O  0.7891  0.5187  0.9464
O  0.8084  0.3295  0.2286
O  0.8080  0.3298  0.7287